No. 1
For ZnAgBiO5, a structure optimized by DFT (GGA-PBE) gives the theoretical powder diffraction line list in this record (Cu Kα (weighted mean of Kα1 and Kα2)).
Kinematic intensities with the Lorentz-polarization factor, no thermal factor.

Structural model:
Lattice parameters (Å, degrees): 5.4425 10.6336 9.1055 90.00 115.76 90.00
Space group P2_1/c (No. 14)
One atom of each set of equivalent atoms:
Zn 0.0885 0.0760 0.1701 x4
Ag 0.2180 0.6171 0.0198 x4
Bi 0.4816 0.1145 0.8586 x4
O 0.1290 0.0281 0.6504 x4
O 0.1941 0.7039 0.4262 x4
O 0.2539 0.0452 0.9889 x4
O 0.3103 0.5691 0.7776 x4
O 0.4115 0.1885 0.3130 x4

Top 6 peaks for 2θ from 10° to 90°, by angle:
- (1 1 -2), d 3.872, rel. 100
- (1 2 1), d 2.968, rel. 86
- (1 3 -2), d 2.697, rel. 49
- (0 4 0), d 2.658, rel. 27
- (0 1 3), d 2.647, rel. 31
- (2 1 -1), d 2.609, rel. 24

No. 2
For AgBiPS2, a structure optimized by DFT (GGA-PBE) gives the theoretical powder diffraction line list in this record (Cu Kα (weighted mean of Kα1 and Kα2)).
Kinematic intensities with the Lorentz-polarization factor, no thermal factor.

Structural model:
Lattice parameters (Å, degrees): 4.8665 4.8665 4.7580 90.00 90.00 90.00
Space group P4/mmm (No. 123)
One atom of each set of equivalent atoms:
Ag 0.0000 0.0000 0.0000 x1
Bi 0.5000 0.5000 0.5000 x1
P 0.0000 0.0000 0.5000 x1
S 0.0000 0.5000 0.0000 x2

Top 6 peaks for 2θ from 10° to 90°, by angle:
- (1 1 0), d 3.441, rel. 50
- (1 0 1), d 3.402, rel. 100
- (1 1 1), d 2.788, rel. 27
- (2 0 0), d 2.433, rel. 43
- (2 1 1), d 1.979, rel. 46
- (2 0 2), d 1.701, rel. 28

No. 3
For Pa2AgBi3, a structure optimized by DFT (GGA-PBE) gives the theoretical powder diffraction line list in this record (Cu Kα (weighted mean of Kα1 and Kα2)).
Kinematic intensities with the Lorentz-polarization factor, no thermal factor.

Structural model:
Lattice parameters (Å, degrees): 4.5124 6.2585 13.2860 90.00 90.00 90.00
Space group Immm (No. 71)
One atom of each set of equivalent atoms:
Pa 0.0000 0.0000 0.1656 x4
Ag 0.0000 0.0000 0.5000 x2
Bi 0.0000 0.5000 0.1632 x4
Bi 0.0000 0.5000 0.5000 x2

Top 6 peaks for 2θ from 10° to 90°, by angle:
- (1 0 3), d 3.161, rel. 100
- (0 2 0), d 3.129, rel. 49
- (1 2 3), d 2.224, rel. 77
- (2 2 0), d 1.830, rel. 22
- (0 2 6), d 1.808, rel. 21
- (1 4 3), d 1.403, rel. 27